(1)
K2CoH4I4O14: calculated X-ray powder pattern (Cu Kα, 1.54184 Å), based on a cell relaxed with GGA+U.

Structural model:
```
data_K2CoH4I4O14
_cell_length_a 7.952
_cell_length_b 8.004
_cell_length_c 8.080
_cell_angle_alpha 88.98
_cell_angle_beta 60.55
_cell_angle_gamma 60.41
_symmetry_space_group_name_H-M 'P 1'
_symmetry_Int_Tables_number 1
loop_
_symmetry_equiv_pos_as_xyz
'x,y,z'
loop_
_atom_site_label
_atom_site_type_symbol
_atom_site_fract_x
_atom_site_fract_y
_atom_site_fract_z
_atom_site_occupancy
K1 K 0.000 0.000 0.000 1
K2 K 0.477 0.999 0.997 1
Co1 Co 0.426 0.508 0.497 1
H1 H 0.012 0.552 0.632 1
H2 H 0.164 0.491 0.381 1
H3 H 0.678 0.628 0.525 1
H4 H 0.828 0.378 0.474 1
I1 I 0.003 0.506 0.981 1
I2 I 0.015 0.967 0.519 1
I3 I 0.491 0.491 0.018 1
I4 I 0.496 0.039 0.478 1
O1 O 0.064 0.159 0.425 1
O2 O 0.141 0.546 0.506 1
O3 O 0.184 0.232 0.872 1
O4 O 0.206 0.577 0.824 1
O5 O 0.274 0.821 0.532 1
O6 O 0.282 0.417 0.135 1
O7 O 0.290 0.766 0.128 1
O8 O 0.609 0.420 0.175 1
O9 O 0.616 0.191 0.465 1
O10 O 0.641 0.851 0.575 1
O11 O 0.683 0.901 0.212 1
O12 O 0.684 0.503 0.500 1
O13 O 0.798 0.099 0.786 1
O14 O 0.837 0.579 0.865 1
```

Top 10 peaks for 10° ≤ 2θ ≤ 90°, most intense first:
hkl, 2θ (°), I (rel.)
2 0 2, 27.5, 100
0 0 2, 26.5, 66
0 1 -1, 15.7, 63
0 2 0, 26.8, 58
2 1 1, 22.4, 41
0 1 1, 21.4, 35
2 0 0, 31.1, 25
2 2 -2, 44.9, 24
2 2 2, 31.2, 24
1 0 1, 13.6, 20

***

(2)
K2CoH4I4O14: calculated X-ray powder pattern (Cu Kα, 1.54184 Å), based on a cell relaxed with GGA+U.

Structural model:
```
data_K2CoH4I4O14
_cell_length_a 8.305
_cell_length_b 7.953
_cell_length_c 11.264
_cell_angle_alpha 90.00
_cell_angle_beta 90.74
_cell_angle_gamma 90.00
_symmetry_space_group_name_H-M 'P 1 21 1'
_symmetry_Int_Tables_number 4
loop_
_symmetry_equiv_pos_as_xyz
'x,y,z'
'-x,y+1/2,-z'
loop_
_atom_site_label
_atom_site_type_symbol
_atom_site_fract_x
_atom_site_fract_y
_atom_site_fract_z
_atom_site_occupancy
K1 K 0.247 0.000 0.252 1
K2 K 0.249 0.476 0.251 1
Co1 Co 0.252 0.428 0.743 1
H1 H 0.162 0.103 0.791 1
H2 H 0.180 0.753 0.697 1
H3 H 0.319 0.099 0.697 1
H4 H 0.330 0.754 0.796 1
I1 I 0.008 0.250 0.986 1
I2 I 0.010 0.254 0.527 1
I3 I 0.494 0.258 0.971 1
I4 I 0.497 0.244 0.513 1
O1 O 0.028 0.060 0.893 1
O2 O 0.037 0.849 0.617 1
O3 O 0.053 0.410 0.873 1
O4 O 0.077 0.448 0.606 1
O5 O 0.190 0.740 0.407 1
O6 O 0.200 0.238 0.070 1
O7 O 0.231 0.167 0.734 1
O8 O 0.264 0.685 0.739 1
O9 O 0.304 0.235 0.431 1
O10 O 0.305 0.741 0.095 1
O11 O 0.424 0.446 0.888 1
O12 O 0.457 0.403 0.628 1
O13 O 0.458 0.859 0.887 1
O14 O 0.475 0.055 0.608 1
```

Top 10 peaks for 10° ≤ 2θ ≤ 90°, most intense first:
hkl, 2θ (°), I (rel.)
0 2 2, 27.5, 100
2 0 -2, 26.5, 66
0 0 2, 15.7, 63
2 0 2, 26.8, 58
2 2 0, 31.1, 49
0 2 0, 22.4, 41
2 0 0, 21.4, 35
2 2 -4, 44.9, 24
2 2 4, 45.3, 23
0 1 1, 13.6, 20